# Rb3H4Au
Simulated XRD peak list, Cu Ka. Input: a cell relaxed with PBE.
Lines closer than 0.1° are merged.

Peak list (10 most intense, 2θ = 10–90°, low angle first)
17.22 deg, rel. 13.1
17.71 deg, rel. 8.7
28.52 deg, rel. 100.0
29.69 deg, rel. 22.4
33.74 deg, rel. 9.4
39.93 deg, rel. 10.1
41.61 deg, rel. 11.2
50.51 deg, rel. 15.6
51.98 deg, rel. 17.0
65.66 deg, rel. 8.1

Atomic structure:
abc: 6.017 9.030 6.269
angles: 90.00 90.00 90.00
Atoms (fractional coordinates):
Rb  0.250  0.001  0.191
Rb  0.250  0.250  0.644
Rb  0.250  0.499  0.191
Rb  0.750  0.501  0.809
Rb  0.750  0.750  0.356
Rb  0.750  0.999  0.809
H  0.022  0.750  0.960
H  0.250  0.572  0.651
H  0.250  0.928  0.651
H  0.478  0.750  0.960
H  0.522  0.250  0.040
H  0.750  0.072  0.349
H  0.750  0.428  0.349
H  0.978  0.250  0.040
Au  0.250  0.750  0.756
Au  0.750  0.250  0.244

***

# RbH5Au
Simulated XRD peak list, Cu Ka. Input: a cell relaxed with PBE.
Lines closer than 0.1° are merged.

Peak list (10 most intense, 2θ = 10–90°, low angle first)
19.97 deg, rel. 19.5
22.56 deg, rel. 100.0
25.15 deg, rel. 41.5
30.07 deg, rel. 48.5
31.32 deg, rel. 23.2
32.91 deg, rel. 20.2
35.09 deg, rel. 17.1
37.63 deg, rel. 27.8
40.58 deg, rel. 22.7
51.83 deg, rel. 21.9

Atomic structure:
abc: 7.896 5.713 5.703
angles: 90.00 116.24 90.00
Atoms (fractional coordinates):
Rb  0.000  0.000  0.000
Rb  0.500  0.500  0.000
H  0.000  0.000  0.500
H  0.000  0.179  0.500
H  0.000  0.821  0.500
H  0.084  0.500  0.824
H  0.416  0.000  0.176
H  0.500  0.321  0.500
H  0.500  0.500  0.500
H  0.500  0.679  0.500
H  0.584  0.000  0.824
H  0.916  0.500  0.176
Au  0.000  0.500  0.500
Au  0.500  0.000  0.500

***

# Rb2HAuSe2
Simulated XRD peak list, Cu Ka. Input: a cell relaxed with PBE.
Lines closer than 0.1° are merged.

Peak list (10 most intense, 2θ = 10–90°, low angle first)
13.11 deg, rel. 100.0
13.74 deg, rel. 95.7
23.19 deg, rel. 82.6
29.67 deg, rel. 64.4
32.01 deg, rel. 72.0
35.99 deg, rel. 81.7
36.17 deg, rel. 39.7
37.51 deg, rel. 45.7
38.46 deg, rel. 37.4
50.21 deg, rel. 38.4

Atomic structure:
abc: 8.404 8.404 8.404
angles: 128.26 73.10 132.18
Atoms (fractional coordinates):
Rb  0.158  0.180  0.338
Rb  0.342  0.680  0.022
Rb  0.658  0.320  0.978
Rb  0.842  0.820  0.662
H  0.250  0.250  0.000
H  0.750  0.750  0.000
Au  0.250  0.750  0.500
Au  0.750  0.250  0.500
Se  0.077  0.741  0.817
Se  0.423  0.241  0.664
Se  0.577  0.759  0.336
Se  0.923  0.259  0.183

***

# Rb2Sn2HAu2
Simulated XRD peak list, Cu Ka. Input: a cell relaxed with PBE.
Lines closer than 0.1° are merged.

Peak list (10 most intense, 2θ = 10–90°, low angle first)
13.23 deg, rel. 48.3
13.81 deg, rel. 51.9
17.52 deg, rel. 79.4
26.68 deg, rel. 100.0
28.91 deg, rel. 62.5
31.87 deg, rel. 63.0
32.15 deg, rel. 54.4
32.90 deg, rel. 43.7
35.46 deg, rel. 64.9
48.60 deg, rel. 34.7

Atomic structure:
abc: 12.997 5.064 8.589
angles: 90.00 128.84 90.00
Atoms (fractional coordinates):
Rb  0.059  0.000  0.324
Rb  0.441  0.500  0.676
Rb  0.559  0.500  0.324
Rb  0.941  0.000  0.676
Sn  0.191  0.500  0.100
Sn  0.309  0.000  0.900
Sn  0.691  0.000  0.100
Sn  0.809  0.500  0.900
H  0.000  0.500  0.000
H  0.500  0.000  0.000
Au  0.217  0.500  0.796
Au  0.283  0.000  0.204
Au  0.717  0.000  0.796
Au  0.783  0.500  0.204